No. 1
LiOsRu2O6: theoretical PXRD pattern (Cu Kα (weighted mean of Kα1 and Kα2)), based on a cell relaxed with PBE.
Kinematic intensities with the Lorentz-polarization factor, no thermal factor.

Structure:
a = 4.9517 Å, b = 4.9734 Å, c = 5.4252 Å
α = 64.92°, β = 65.27°, γ = 64.64°
Space group P1 (No. 1)
Unique sites:
1 Li 0.0000 0.0000 0.0000 (multiplicity 1)
2 Os 0.5020 0.4912 0.5631 (multiplicity 1)
3 Ru 0.3079 0.2872 0.1064 (multiplicity 1)
4 Ru 0.7957 0.7830 0.5957 (multiplicity 1)
5 O 0.0940 0.4012 0.8016 (multiplicity 1)
6 O 0.2176 0.8801 0.3568 (multiplicity 1)
7 O 0.3848 0.7101 0.8506 (multiplicity 1)
8 O 0.5694 0.2092 0.3519 (multiplicity 1)
9 O 0.7113 0.0776 0.8106 (multiplicity 1)
10 O 0.9104 0.5545 0.3088 (multiplicity 1)

The 10 most intense peaks (2θ = 5–70°), in order of rising 2θ:
(0 0 1), 2θ 18.87, d = 4.703 Å, I 63; (1 0 0), 2θ 20.72, d = 4.286 Å, I 100; (1 1 1), 2θ 22.24, d = 3.998 Å, I 36; (0 1 1), 2θ 23.54, d = 3.780 Å, I 41; (1 0 1), 2θ 23.71, d = 3.753 Å, I 41; (0 1 -1), 2θ 32.12, d = 2.787 Å, I 68; (1 -1 0), 2θ 33.78, d = 2.653 Å, I 50; (1 2 1), 2θ 36.25, d = 2.478 Å, I 40; (2 1 1), 2θ 36.40, d = 2.468 Å, I 40; (2 1 -1), 2θ 53.29, d = 1.719 Å, I 43

No. 2
Al3Sn2AuS8: theoretical PXRD pattern (Cu Kα (weighted mean of Kα1 and Kα2)), based on a cell relaxed with PBE.
Kinematic intensities with the Lorentz-polarization factor, no thermal factor.

Structure:
a = 7.2938 Å, b = 7.2938 Å, c = 19.2544 Å
α = 90.00°, β = 90.00°, γ = 120.00°
Space group R3m (No. 160, hexagonal axes)
Unique sites:
1 Al 0.1722 0.3444 0.0000 (multiplicity 9)
2 Sn 0.0000 0.0000 0.1752 (multiplicity 3)
3 Sn 0.0000 0.0000 0.7998 (multiplicity 3)
4 Au 0.0000 0.0000 0.5260 (multiplicity 3)
5 S 0.0000 0.0000 0.4017 (multiplicity 3)
6 S 0.0000 0.0000 0.9434 (multiplicity 3)
7 S 0.0157 0.5079 0.9298 (multiplicity 9)
8 S 0.1804 0.3609 0.7381 (multiplicity 9)

The 10 most intense peaks (2θ = 5–70°), in order of rising 2θ:
(0 0 3), 2θ 13.80, d = 6.418 Å, I 26; (1 0 4), 2θ 23.23, d = 3.829 Å, I 26; (1 1 0), 2θ 24.41, d = 3.647 Å, I 73; (0 1 5), 2θ 27.12, d = 3.288 Å, I 23; (1 1 3), 2θ 28.14, d = 3.171 Å, I 100; (1 1 6), 2θ 37.33, d = 2.409 Å, I 19; (1 2 5), 2θ 44.66, d = 2.029 Å, I 17; (0 3 3), 2θ 45.33, d = 2.001 Å, I 29; (2 0 8), 2θ 47.50, d = 1.914 Å, I 28; (2 2 0), 2θ 50.02, d = 1.823 Å, I 35